The following is a theoretical powder X-ray diffraction pattern of Ba2PrCoCu2O7. It was derived from a crystal structure in the Materials Project, relaxed with GGA+U, using λ = 1.5418 Å (Cu Kα).

Structure:
Cell: 3.9244 3.9459 11.9532 Å, 90.00 90.00 90.00°
Space group Pmmm (No. 47)
Asymmetric unit:
Ba 0.0000 0.0000 0.1843 x2
Pr 0.0000 0.0000 0.5000 x1
Co 0.5000 0.5000 0.0000 x1
Cu 0.5000 0.5000 0.3559 x2
O 0.0000 0.5000 0.3699 x2
O 0.5000 0.0000 0.0000 x1
O 0.5000 0.0000 0.3705 x2
O 0.5000 0.5000 0.1500 x2

Principal peaks in the range 2θ from 10° to 80°, by angle:
h k l	Position (°2θ)	d/Å	Rel. int.
1 0 3	31.97	2.800	100
1 1 0	32.17	2.783	51
0 1 4	37.80	2.380	9
1 1 3	39.50	2.281	17
0 0 6	45.53	1.992	9
0 2 0	46.00	1.973	15
2 0 0	46.27	1.962	15
1 1 6	56.84	1.620	16
1 2 3	57.14	1.612	20
2 1 3	57.31	1.608	18